ZrPaRhO6: simulated powder X-ray diffraction pattern (Cu Kα, 1.54184 Å), based on a PBE-relaxed structure.
Kinematic intensities with the Lorentz-polarization factor, no thermal factor.

Atomic structure:
a b c (Å): 4.943 4.943 9.872
angles (deg): 90.00 90.00 90.00
Space group P4_2nm (No. 102)
Asymmetric unit:
Zr: 0.000 0.000 0.000
Pa: 0.000 0.000 0.337
Rh: 0.000 0.000 0.667
O: 0.187 0.187 0.831
O: 0.197 0.197 0.509
O: 0.199 0.199 0.165

The 10 most intense peaks (5° ≤ 2θ ≤ 70°), in order of rising 2θ:
2theta  d_spacing  Rel. int.  h k l
20.1  4.420  26  1 0 1
25.5  3.495  100  1 1 0
31.4  2.852  10  1 1 2
32.7  2.739  84  1 0 3
36.4  2.471  27  2 0 0
49.7  1.835  71  2 1 3
52.4  1.747  19  2 2 0
59.1  1.563  16  3 1 0
62.4  1.489  19  1 1 6
63.1  1.473  23  3 0 3

***

PaRuO5: simulated powder X-ray diffraction pattern (Cu Kα, 1.54184 Å), based on a PBE-relaxed structure.
Kinematic intensities with the Lorentz-polarization factor, no thermal factor.

Atomic structure:
a b c (Å): 8.807 6.483 7.534
angles (deg): 90.00 115.12 90.00
Space group C2/c (No. 15)
Asymmetric unit:
Pa: 0.000 0.045 0.250
Ru: 0.000 0.500 0.000
O: 0.000 0.423 0.250
O: 0.012 0.201 0.968
O: 0.245 0.473 0.626

The 10 most intense peaks (5° ≤ 2θ ≤ 70°), in order of rising 2θ:
2theta  d_spacing  Rel. int.  h k l
17.6  5.030  27  1 1 0
22.3  3.987  92  2 0 0
27.4  3.257  100  1 1 -2
27.5  3.242  43  0 2 0
35.5  2.526  32  1 1 2
35.7  2.517  60  3 1 -2
45.5  1.994  19  4 0 0
53.8  1.704  23  0 0 4
54.0  1.699  37  5 1 -2
56.5  1.629  18  2 2 -4

***

PaRuO6: simulated powder X-ray diffraction pattern (Cu Kα, 1.54184 Å), based on a PBE-relaxed structure.
Kinematic intensities with the Lorentz-polarization factor, no thermal factor.

Atomic structure:
a b c (Å): 8.502 5.232 10.220
angles (deg): 90.00 96.84 90.00
Space group C2/c (No. 15)
Asymmetric unit:
Pa: 0.000 0.122 0.250
Ru: 0.250 0.250 0.500
O: 0.072 0.405 0.397
O: 0.112 0.074 0.598
O: 0.216 0.010 0.864

The 10 most intense peaks (5° ≤ 2θ ≤ 70°), in order of rising 2θ:
2theta  d_spacing  Rel. int.  h k l
20.0  4.447  41  1 1 0
21.3  4.170  100  1 1 -1
25.8  3.453  65  2 0 -2
27.5  3.245  18  1 1 2
29.1  3.070  29  2 0 2
34.3  2.614  25  1 1 3
35.4  2.535  23  0 0 4
38.3  2.351  17  3 1 1
42.9  2.108  24  4 0 0
43.7  2.069  17  0 2 3

***

PaTiRuO6: simulated powder X-ray diffraction pattern (Cu Kα, 1.54184 Å), based on a PBE-relaxed structure.
Kinematic intensities with the Lorentz-polarization factor, no thermal factor.

Atomic structure:
a b c (Å): 4.842 4.842 9.526
angles (deg): 90.00 90.00 90.00
Space group P4_2nm (No. 102)
Asymmetric unit:
Pa: 0.000 0.000 0.000
Ti: 0.000 0.000 0.661
Ru: 0.000 0.000 0.323
O: 0.183 0.183 0.497
O: 0.199 0.199 0.814
O: 0.212 0.212 0.171

The 10 most intense peaks (5° ≤ 2θ ≤ 70°), in order of rising 2θ:
2theta  d_spacing  Rel. int.  h k l
20.6  4.317  54  1 0 1
26.0  3.424  100  1 1 0
32.2  2.780  17  1 1 2
33.8  2.655  80  1 0 3
37.1  2.421  23  2 0 0
42.8  2.112  20  2 1 1
51.0  1.789  66  2 1 3
53.5  1.712  17  2 2 0
60.5  1.531  16  3 1 0
64.8  1.440  34  3 0 3